Diffraction record for La3Pr4Ho3. The powder X-ray diffraction pattern is theoretical, not measured: it uses a structure optimized by DFT (GGA-PBE) and Cu Kα (weighted mean of Kα1 and Kα2).
Intensities are scaled so that the largest is 100.

Main lines, low angle first (2θ from 15° to 90°):
2θ = 29.34°, d = 3.044 Å, rel. 29
2θ = 29.47°, d = 3.031 Å, rel. 29
2θ = 29.66°, d = 3.012 Å, rel. 25
2θ = 31.12°, d = 2.874 Å, rel. 100
2θ = 46.99°, d = 1.934 Å, rel. 11
2θ = 56.41°, d = 1.631 Å, rel. 18

```
La3Pr4Ho3
1.0
3.8674 0.0000 0.0000
0.0000 6.8150 6.7695
0.0000 -6.8150 6.7695
La Pr Ho
3 4 3
direct
0.0000 0.0000 0.0000 La
0.5000 0.1729 0.6623 La
0.5000 0.6623 0.1729 La
0.5000 0.0420 0.3024 Pr
0.5000 0.3024 0.0420 Pr
0.5000 0.5408 0.5408 Pr
0.5000 0.7952 0.7952 Pr
0.0000 0.3391 0.3391 Ho
0.0000 0.4990 0.8365 Ho
0.0000 0.8365 0.4990 Ho
```